This entry pairs a crystal structure of K2Li2SbO6 with its simulated X-ray diffraction stick pattern. Radiation: Cu Kα (weighted mean of Kα1 and Kα2). Structure: DFT lattice parameters and positions (PBE).
No peak broadening, texture or thermal motion is included.

Most intense lines, 15 to 90 degrees two-theta, by angle:
2θ/deg	Rel. int.
18.69	23.6
23.71	100.0
32.67	22.2
40.77	19.6
44.35	42.1
48.53	15.4
53.19	18.8
58.31	12.1
59.74	11.9
69.78	8.9
70.43	9.2
73.58	8.8

Atomic structure:
Lattice parameters (Å, degrees): 5.4818 5.4818 6.1253 90.00 90.00 120.00
Fractional positions:
K1 0.3333 0.6667 0.0000
K2 0.6667 0.3333 0.0000
Li1 0.3333 0.6667 0.5000
Li2 0.6667 0.3333 0.5000
Sb1 0.0000 0.0000 0.5000
O1 0.0000 0.3059 0.3226
O2 0.0000 0.6941 0.6774
O3 0.3059 0.0000 0.3226
O4 0.3059 0.3059 0.6774
O5 0.6941 0.0000 0.6774
O6 0.6941 0.6941 0.3226



This entry pairs a crystal structure of Pr6Ag5Sb with its simulated X-ray diffraction stick pattern. Radiation: Cu Kα (weighted mean of Kα1 and Kα2). Structure: DFT lattice parameters and positions (PBE).
No peak broadening, texture or thermal motion is included.

Most intense lines, 15 to 90 degrees two-theta, by angle:
2θ/deg	Rel. int.
33.23	100.0
33.58	19.5
47.45	7.3
47.96	14.0
59.15	7.3
59.36	14.3
59.38	7.3
59.82	14.3
69.76	11.0
79.11	6.3
79.87	6.0
80.27	3.0

Atomic structure:
Lattice parameters (Å, degrees): 9.3422 9.3422 9.3422 146.80 131.57 59.98
Fractional positions:
Pr1 0.0829 0.3332 0.7497
Pr2 0.2487 0.0000 0.2487
Pr3 0.4164 0.6668 0.7497
Pr4 0.5836 0.3332 0.2503
Pr5 0.7513 0.0000 0.7513
Pr6 0.9171 0.6668 0.2503
Ag1 0.0000 0.5000 0.5000
Ag2 0.1681 0.1681 0.0000
Ag3 0.3257 0.8257 0.5000
Ag4 0.6743 0.1743 0.5000
Ag5 0.8319 0.8319 0.0000
Sb1 0.5000 0.5000 0.0000



This entry pairs a crystal structure of Rb2PuTe4Au2 with its simulated X-ray diffraction stick pattern. Radiation: Cu Kα (weighted mean of Kα1 and Kα2). Structure: DFT lattice parameters and positions (PBE).
No peak broadening, texture or thermal motion is included.

Most intense lines, 15 to 90 degrees two-theta, by angle:
2θ/deg	Rel. int.
26.03	43.8
26.17	29.0
28.62	59.1
30.17	79.5
30.44	100.0
32.47	38.6
34.17	47.1
37.43	61.1
37.80	37.9
39.66	63.0
46.53	29.2
53.32	26.7

Atomic structure:
Lattice parameters (Å, degrees): 8.5796 8.5796 8.5862 107.23 107.23 30.73
Fractional positions:
Rb1 0.1363 0.1363 0.0871
Rb2 0.8637 0.8637 0.9129
Pu1 0.0000 0.0000 0.5000
Te1 0.1968 0.1968 0.6760
Te2 0.4982 0.4982 0.7493
Te3 0.5018 0.5018 0.2507
Te4 0.8032 0.8032 0.3240
Au1 0.3427 0.3427 0.5167
Au2 0.6573 0.6573 0.4833



This entry pairs a crystal structure of Sm5Dy3Sc2 with its simulated X-ray diffraction stick pattern. Radiation: Cu Kα (weighted mean of Kα1 and Kα2). Structure: DFT lattice parameters and positions (PBE).
No peak broadening, texture or thermal motion is included.

Most intense lines, 15 to 90 degrees two-theta, by angle:
2θ/deg	Rel. int.
19.90	6.7
31.05	100.0
35.91	16.8
36.05	33.4
51.80	29.3
61.54	14.0
61.66	13.8
61.79	13.7
64.81	6.0
84.59	7.1
84.68	7.1
87.47	6.6

Atomic structure:
Lattice parameters (Å, degrees): 9.3238 9.3253 9.3360 106.58 106.78 115.13
Fractional positions:
Sm1 0.0221 0.0748 0.3460
Sm2 0.1291 0.3792 0.7508
Sm3 0.2282 0.6767 0.1539
Sm4 0.3782 0.1273 0.2490
Sm5 0.4740 0.4278 0.6523
Sm6 0.5260 0.5722 0.3477
Sm7 0.6218 0.8727 0.7510
Sm8 0.7718 0.3233 0.8461
Sm9 0.8709 0.6208 0.2492
Sm10 0.9779 0.9252 0.6540
Dy1 0.0773 0.2283 0.0527
Dy2 0.2759 0.8222 0.8484
Dy3 0.3233 0.9733 0.5528
Dy4 0.6767 0.0267 0.4472
Dy5 0.7241 0.1778 0.1516
Dy6 0.9227 0.7717 0.9473
Sc1 0.1696 0.5234 0.4504
Sc2 0.4259 0.2765 0.9494
Sc3 0.5741 0.7235 0.0506
Sc4 0.8304 0.4766 0.5496